The following is a simulated XRD peak list of Pm2Co2C. It was derived from DFT lattice parameters and positions (GGA-PBE), using Cu Kα X-rays.
No peak broadening, texture or thermal motion is included.

The 6 most intense peaks (2θ from 10° to 90°), by angle:
- 26.40°, I = 50
- 28.13°, I = 98
- 32.52°, I = 54
- 33.64°, I = 100
- 33.87°, I = 83
- 34.36°, I = 60

```
Pm2Co2C
1.0
5.922 -3.164 0.000
5.922 3.164 0.000
-1.955 0.000 4.940
Pm Co C
4 4 2
Direct
0.014 0.689 0.836
0.311 0.986 0.664
0.689 0.014 0.336
0.986 0.311 0.164
0.295 0.538 0.381
0.462 0.705 0.119
0.538 0.295 0.881
0.705 0.462 0.619
0.419 0.581 0.750
0.581 0.419 0.250
```

***

The following is a simulated XRD peak list of Pr2CoC4. It was derived from DFT lattice parameters and positions (GGA-PBE), using Cu Kα X-rays.
No peak broadening, texture or thermal motion is included.

The 6 most intense peaks (2θ from 10° to 90°), by angle:
- 26.86°, I = 100
- 28.44°, I = 43
- 30.44°, I = 64
- 36.93°, I = 29
- 49.24°, I = 27
- 57.26°, I = 33

```
Pr2CoC4
1.0
-3.756 5.181 2.644
3.756 -5.181 2.644
3.756 5.181 -2.644
Pr Co C
4 2 8
Direct
0.144 0.167 0.311
0.356 0.667 0.022
0.644 0.333 0.978
0.856 0.833 0.689
0.250 0.750 0.500
0.750 0.250 0.500
0.077 0.661 0.739
0.123 0.830 0.953
0.377 0.330 0.707
0.423 0.161 0.584
0.577 0.839 0.416
0.623 0.670 0.293
0.877 0.170 0.047
0.923 0.339 0.261
```

***

The following is a simulated XRD peak list of Pr2Co17C2. It was derived from DFT lattice parameters and positions (GGA-PBE), using Cu Kα X-rays.
No peak broadening, texture or thermal motion is included.

The 6 most intense peaks (2θ from 10° to 90°), by angle:
- 36.14°, I = 49
- 41.93°, I = 54
- 42.09°, I = 95
- 42.58°, I = 100
- 42.72°, I = 65
- 44.59°, I = 64

```
Pr2Co17C2
1.0
4.742 -4.310 0.000
4.742 4.310 0.000
-0.915 0.000 6.366
Pr Co C
2 17 2
Direct
0.143 0.143 0.326
0.857 0.857 0.674
0.000 0.500 0.000
0.156 0.637 0.341
0.160 0.160 0.864
0.217 0.499 0.716
0.227 0.773 0.000
0.363 0.844 0.659
0.405 0.405 0.095
0.499 0.217 0.716
0.500 0.000 0.000
0.500 0.500 0.500
0.501 0.783 0.284
0.595 0.595 0.905
0.637 0.156 0.341
0.773 0.227 0.000
0.783 0.501 0.284
0.840 0.840 0.136
0.844 0.363 0.659
0.000 0.500 0.500
0.500 0.000 0.500
```

***

The following is a simulated XRD peak list of Pu2Co3C. It was derived from DFT lattice parameters and positions (GGA-PBE), using Cu Kα X-rays.
No peak broadening, texture or thermal motion is included.

The 6 most intense peaks (2θ from 10° to 90°), by angle:
- 23.20°, I = 19
- 26.64°, I = 26
- 28.76°, I = 56
- 35.61°, I = 68
- 37.27°, I = 100
- 48.37°, I = 33

```
Pu2Co3C
1.0
0.000 3.834 6.692
3.505 0.000 6.692
3.505 3.834 0.000
Pu Co C
4 6 2
Direct
0.223 0.777 0.223
0.250 0.250 0.250
0.750 0.750 0.750
0.777 0.223 0.777
0.162 0.162 0.838
0.226 0.590 0.774
0.410 0.774 0.590
0.590 0.226 0.410
0.774 0.410 0.226
0.838 0.838 0.162
0.303 0.303 0.697
0.697 0.697 0.303
```

***

The following is a simulated XRD peak list of RbCoC2. It was derived from DFT lattice parameters and positions (GGA-PBE), using Cu Kα X-rays.
No peak broadening, texture or thermal motion is included.

The 6 most intense peaks (2θ from 10° to 90°), by angle:
- 31.10°, I = 100
- 44.59°, I = 9
- 55.33°, I = 37
- 64.85°, I = 14
- 73.55°, I = 5
- 73.72°, I = 10

```
RbCoC2
1.0
-2.874 2.874 4.073
2.874 -2.874 4.073
2.874 2.874 -4.073
Rb Co C
2 2 4
Direct
0.375 0.625 0.750
0.625 0.375 0.250
0.125 0.875 0.250
0.875 0.125 0.750
0.000 0.000 0.000
0.000 0.000 0.500
0.000 0.500 0.000
0.500 0.000 0.500
```

***

The following is a simulated XRD peak list of CoRu3C. It was derived from DFT lattice parameters and positions (GGA-PBE), using Cu Kα X-rays.
No peak broadening, texture or thermal motion is included.

The 6 most intense peaks (2θ from 10° to 90°), by angle:
- 22.38°, I = 7
- 39.27°, I = 100
- 45.67°, I = 54
- 66.57°, I = 33
- 80.11°, I = 36
- 84.46°, I = 11

```
CoRu3C
1.0
3.973 0.000 0.000
0.000 3.973 0.000
0.000 0.000 3.973
Co Ru C
1 3 1
Direct
0.000 0.000 0.000
0.000 0.500 0.500
0.500 0.000 0.500
0.500 0.500 0.000
0.500 0.500 0.500
```

***

What did the sixth record say?
The following is a simulated XRD peak list of CoRu3C. It was derived from DFT lattice parameters and positions (GGA-PBE), using Cu Kα X-rays.
No peak broadening, texture or thermal motion is included.

The 6 most intense peaks (2θ from 10° to 90°), by angle:
- 22.38°, I = 7
- 39.27°, I = 100
- 45.67°, I = 54
- 66.57°, I = 33
- 80.11°, I = 36
- 84.46°, I = 11

```
CoRu3C
1.0
3.973 0.000 0.000
0.000 3.973 0.000
0.000 0.000 3.973
Co Ru C
1 3 1
Direct
0.000 0.000 0.000
0.000 0.500 0.500
0.500 0.000 0.500
0.500 0.500 0.000
0.500 0.500 0.500
```